PrZn6Ge2: simulated powder XRD pattern (CuKα), based on the PBE geometry in Alexandria.
Intensities are scaled so that the largest is 100.

Structure:
Unit cell a=4.096 b=4.096 c=9.496 alpha=90.00 beta=90.00 gamma=90.00
Space group P4/mmm (No. 123)
Symmetry-distinct sites (fractional):
1 Pr 0.000 0.000 0.000
2 Zn 0.000 0.000 0.500
3 Zn 0.000 0.500 0.309
4 Zn 0.500 0.500 0.500
5 Ge 0.500 0.500 0.138

Largest 8 diffraction maxima, in order of rising 2θ, 2θ from 10° to 90°:
- 28.78 deg, I 23, (1 0 2)
- 32.31 deg, I 25, (1 1 1)
- 35.85 deg, I 34, (1 0 3)
- 36.33 deg, I 100, (1 1 2)
- 42.30 deg, I 43, (1 1 3)
- 44.09 deg, I 21, (1 0 4)
- 44.22 deg, I 67, (2 0 0)
- 76.18 deg, I 21, (3 1 2)

=====

Os3Rh5: simulated powder XRD pattern (CuKα), based on the PBE geometry in Alexandria.
Intensities are scaled so that the largest is 100.

Structure:
Unit cell a=10.278 b=9.499 c=5.162 alpha=90.00 beta=115.54 gamma=90.00
Space group C2/c (No. 15)
Symmetry-distinct sites (fractional):
1 Os 0.000 0.045 0.250
2 Os 0.124 0.291 0.492
3 Rh 0.000 0.460 0.750
4 Rh 0.125 0.208 0.002
5 Rh 0.248 0.041 0.739

Largest 8 diffraction maxima, in order of rising 2θ, 2θ from 10° to 90°:
- 37.85 deg, I 38, (2 2 1)
- 41.45 deg, I 38, (4 0 -2)
- 43.27 deg, I 50, (0 2 2)
- 43.42 deg, I 100, (2 4 -1)
- 57.45 deg, I 14, (6 2 -1)
- 68.36 deg, I 26, (2 6 1)
- 83.36 deg, I 15, (8 0 0)
- 84.58 deg, I 14, (6 4 1)

=====

V3Pd2Rh2: simulated powder XRD pattern (CuKα), based on the PBE geometry in Alexandria.
Intensities are scaled so that the largest is 100.

Structure:
Unit cell a=3.811 b=19.431 c=2.725 alpha=90.00 beta=90.00 gamma=90.00
Space group Cmmm (No. 65)
Symmetry-distinct sites (fractional):
1 V 0.000 0.000 0.000
2 V 0.000 0.150 0.000
3 Pd 0.000 0.431 0.500
4 Rh 0.000 0.295 0.500

Largest 8 diffraction maxima, in order of rising 2θ, 2θ from 10° to 90°:
- 23.79 deg, I 28, (1 1 0)
- 32.87 deg, I 23, (0 0 1)
- 40.19 deg, I 100, (1 7 0)
- 40.98 deg, I 82, (1 1 1)
- 43.40 deg, I 22, (0 6 1)
- 47.73 deg, I 33, (2 0 0)
- 50.33 deg, I 30, (0 8 1)
- 82.90 deg, I 23, (1 7 2)

=====

Q: Number 3 is which compound?
A: V3Pd2Rh2

=====

Q: Which formula does entry 1 have?
A: PrZn6Ge2